1.
Theoretical X-ray powder pattern of Tb2Mo2O7 for Cu Kα X-rays, from a structure optimized by DFT (GGA+U).

Lattice parameters (Å, degrees): 10.434 10.434 10.434 90.00 90.00 90.00
Space group Fd-3m (No. 227, origin choice 2)
Asymmetric unit:
Tb 0.000 0.000 0.000 [16 per cell]
Mo 0.000 0.000 0.500 [16 per cell]
O 0.088 0.375 0.875 [48 per cell]
O 0.125 0.125 0.125 [8 per cell]

Largest 8 diffraction maxima, by intensity, 2θ = 5–70°:
| hkl | 2θ/deg | Rel. int. |
| --- | --- | --- |
| 2 2 2 | 29.7 | 100 |
| 4 4 0 | 49.4 | 48 |
| 6 2 2 | 58.7 | 43 |
| 4 0 0 | 34.4 | 32 |
| 4 4 4 | 61.6 | 10 |
| 3 3 1 | 37.6 | 6 |
| 1 1 1 | 14.7 | 5 |
| 5 1 1 | 45.2 | 2 |

2.
Theoretical X-ray powder pattern of K6Na2PtW6O36 for Cu Kα X-rays, from a structure optimized by DFT (GGA+U).

```
data_K6Na2PtW6O36
_cell_length_a 12.5336
_cell_length_b 12.5336
_cell_length_c 18.9114
_cell_angle_alpha 90.00
_cell_angle_beta 90.00
_cell_angle_gamma 120.00
_symmetry_space_group_name_H-M 'R -3 m'
_symmetry_Int_Tables_number 166
_symmetry_space_group_name_Hall '-R 3 2"'
loop_
_atom_site_label
_atom_site_type_symbol
_atom_site_fract_x
_atom_site_fract_y
_atom_site_fract_z
K1 K 0.0350 0.5175 0.3421
Na1 Na 0.0000 0.0000 0.1016
Pt1 Pt 0.0000 0.0000 0.5000
W1 W 0.0000 0.2610 0.5000
O1 O 0.0153 0.2852 0.0999
O2 O 0.0298 0.5149 0.1132
O3 O 0.0609 0.1219 0.7896
O4 O 0.0616 0.1231 0.2422
O5 O 0.0824 0.1647 0.5524
```

Largest 8 diffraction maxima, by intensity, 2θ = 5–70°:
| hkl | 2θ/deg | Rel. int. |
| --- | --- | --- |
| 0 0 3 | 14.1 | 100 |
| 1 0 1 | 9.4 | 94 |
| 0 3 3 | 28.4 | 41 |
| 0 1 2 | 12.4 | 40 |
| 0 4 5 | 40.9 | 34 |
| 0 4 2 | 34.4 | 32 |
| 1 0 4 | 20.5 | 28 |
| 3 0 0 | 24.6 | 24 |

3.
Theoretical X-ray powder pattern of BaCaCr4O8 for Cu Kα X-rays, from a structure optimized by DFT (GGA+U).

```
data_BaCaCr4O8
_cell_length_a 5.4999
_cell_length_b 5.4999
_cell_length_c 7.8583
_cell_angle_alpha 90.00
_cell_angle_beta 90.00
_cell_angle_gamma 120.00
_symmetry_space_group_name_H-M 'P -3 1 m'
_symmetry_Int_Tables_number 162
_symmetry_space_group_name_Hall '-P 3 2'
loop_
_atom_site_label
_atom_site_type_symbol
_atom_site_fract_x
_atom_site_fract_y
_atom_site_fract_z
Ba1 Ba 0.0000 0.0000 0.0000
Ca1 Ca 0.0000 0.0000 0.5000
Cr1 Cr 0.3333 0.6667 0.2409
O1 O 0.0000 0.3274 0.3033
O2 O 0.3333 0.6667 0.0000
```

Largest 8 diffraction maxima, by intensity, 2θ = 5–70°:
| hkl | 2θ/deg | Rel. int. |
| --- | --- | --- |
| 1 0 2 | 29.5 | 100 |
| 1 1 0 | 32.6 | 77 |
| 2 -1 4 | 57.7 | 32 |
| 2 0 2 | 44.5 | 32 |
| 2 1 2 | 56.2 | 31 |
| 2 -1 1 | 34.6 | 28 |
| 3 0 0 | 58.1 | 24 |
| 0 0 1 | 11.3 | 22 |

4.
Theoretical X-ray powder pattern of CoPO4 for Cu Kα X-rays, from a structure optimized by DFT (GGA+U).

```
data_CoPO4
_cell_length_a 9.067
_cell_length_b 5.428
_cell_length_c 17.910
_cell_angle_alpha 90.00
_cell_angle_beta 92.24
_cell_angle_gamma 90.00
_symmetry_space_group_name_H-M 'P 1 21/c 1'
_symmetry_Int_Tables_number 14
loop_
_symmetry_equiv_pos_as_xyz
'x,y,z'
'-x,-y,-z'
'-x,y+1/2,-z+1/2'
'x,-y+1/2,z+1/2'
loop_
_atom_site_label
_atom_site_type_symbol
_atom_site_fract_x
_atom_site_fract_y
_atom_site_fract_z
Co1 Co 0.082 0.236 0.091
Co2 Co 0.405 0.222 0.838
P1 P 0.079 0.240 0.405
P2 P 0.410 0.226 0.656
O1 O 0.012 0.528 0.131
O2 O 0.027 0.016 0.867
O3 O 0.051 0.249 0.989
O4 O 0.245 0.200 0.393
O5 O 0.284 0.185 0.101
O6 O 0.355 0.244 0.736
O7 O 0.450 0.543 0.137
O8 O 0.454 0.606 0.354
```

Largest 8 diffraction maxima, by intensity, 2θ = 5–70°:
| hkl | 2θ/deg | Rel. int. |
| --- | --- | --- |
| 1 1 0 | 19.1 | 100 |
| 0 0 4 | 19.8 | 77 |
| 1 0 -2 | 13.6 | 47 |
| 1 0 2 | 14.2 | 45 |
| 2 0 0 | 19.6 | 35 |
| 3 1 0 | 34.0 | 28 |
| 0 2 0 | 33.0 | 20 |
| 2 1 2 | 27.8 | 17 |

5.
Theoretical X-ray powder pattern of MgMn6O7F5 for Cu Kα X-rays, from a structure optimized by DFT (GGA+U).

```
data_MgMn6O7F5
_cell_length_a 4.984
_cell_length_b 5.063
_cell_length_c 9.201
_cell_angle_alpha 87.66
_cell_angle_beta 87.89
_cell_angle_gamma 81.57
_symmetry_space_group_name_H-M 'P 1'
_symmetry_Int_Tables_number 1
loop_
_symmetry_equiv_pos_as_xyz
'x,y,z'
loop_
_atom_site_label
_atom_site_type_symbol
_atom_site_fract_x
_atom_site_fract_y
_atom_site_fract_z
Mg1 Mg 0.000 0.000 0.000
Mn1 Mn 0.003 0.472 0.671
Mn2 Mn 0.021 0.492 0.332
Mn3 Mn 0.476 0.934 0.186
Mn4 Mn 0.514 0.986 0.500
Mn5 Mn 0.537 0.008 0.814
Mn6 Mn 0.972 0.511 0.002
O1 O 0.145 0.691 0.148
O2 O 0.319 0.179 0.334
O3 O 0.334 0.201 0.662
O4 O 0.680 0.812 0.995
O5 O 0.691 0.763 0.342
O6 O 0.705 0.783 0.664
O7 O 0.856 0.301 0.851
F1 F 0.181 0.750 0.849
F2 F 0.183 0.668 0.511
F3 F 0.310 0.202 0.002
F4 F 0.838 0.244 0.155
F5 F 0.841 0.291 0.494
```

Largest 8 diffraction maxima, by intensity, 2θ = 5–70°:
| hkl | 2θ/deg | Rel. int. |
| --- | --- | --- |
| 1 1 0 | 23.4 | 100 |
| 1 -1 0 | 27.2 | 71 |
| 1 0 -3 | 34.9 | 36 |
| 1 0 3 | 34.0 | 25 |
| 0 1 3 | 33.8 | 24 |
| 1 2 3 | 47.3 | 23 |
| 2 2 0 | 47.9 | 21 |
| -1 2 3 | 52.2 | 18 |

6.
Theoretical X-ray powder pattern of Na4Ni9O18 for Cu Kα X-rays, from a structure optimized by DFT (GGA+U).

```
data_Na4Ni9O18
_cell_length_a 7.087
_cell_length_b 7.109
_cell_length_c 7.513
_cell_angle_alpha 103.80
_cell_angle_beta 90.67
_cell_angle_gamma 105.82
_symmetry_space_group_name_H-M 'P 1'
_symmetry_Int_Tables_number 1
loop_
_symmetry_equiv_pos_as_xyz
'x,y,z'
loop_
_atom_site_label
_atom_site_type_symbol
_atom_site_fract_x
_atom_site_fract_y
_atom_site_fract_z
Na1 Na 0.000 0.000 0.000
Na2 Na 0.090 0.094 0.605
Na3 Na 0.521 0.517 0.333
Na4 Na 0.620 0.619 0.937
Ni1 Ni 0.029 0.535 0.800
Ni2 Ni 0.135 0.646 0.467
Ni3 Ni 0.254 0.749 0.134
Ni4 Ni 0.362 0.868 0.805
Ni5 Ni 0.476 0.966 0.470
Ni6 Ni 0.588 0.085 0.137
Ni7 Ni 0.695 0.193 0.802
Ni8 Ni 0.806 0.307 0.469
Ni9 Ni 0.921 0.422 0.130
O1 O 0.072 0.411 0.563
O2 O 0.099 0.803 0.728
O3 O 0.191 0.507 0.206
O4 O 0.211 0.881 0.370
O5 O 0.308 0.636 0.894
O6 O 0.318 0.987 0.047
O7 O 0.403 0.737 0.565
O8 O 0.426 0.100 0.708
O9 O 0.515 0.821 0.234
O10 O 0.538 0.200 0.379
O11 O 0.635 0.959 0.897
O12 O 0.656 0.343 0.039
O13 O 0.737 0.048 0.571
O14 O 0.749 0.421 0.709
O15 O 0.861 0.191 0.224
O16 O 0.875 0.562 0.361
O17 O 0.957 0.274 0.892
O18 O 0.984 0.658 0.039
```

Largest 8 diffraction maxima, by intensity, 2θ = 5–70°:
| hkl | 2θ/deg | Rel. int. |
| --- | --- | --- |
| 1 -1 0 | 15.8 | 100 |
| 3 0 1 | 42.8 | 31 |
| 0 3 -2 | 42.2 | 16 |
| 0 0 3 | 37.1 | 12 |
| 2 -2 0 | 32.0 | 11 |
| 4 -1 1 | 53.5 | 10 |
| -1 4 1 | 57.8 | 8 |
| 5 -2 1 | 67.7 | 7 |

7.
Theoretical X-ray powder pattern of KMgNi2H3Se2O10 for Cu Kα X-rays, from a structure optimized by DFT (GGA+U).

```
data_KMgNi2H3Se2O10
_cell_length_a 10.079
_cell_length_b 6.636
_cell_length_c 8.390
_cell_angle_alpha 90.00
_cell_angle_beta 121.91
_cell_angle_gamma 90.00
_symmetry_space_group_name_H-M 'C 1 m 1'
_symmetry_Int_Tables_number 8
loop_
_symmetry_equiv_pos_as_xyz
'x,y,z'
'x,-y,z'
'x+1/2,y+1/2,z'
'x+1/2,-y+1/2,z'
loop_
_atom_site_label
_atom_site_type_symbol
_atom_site_fract_x
_atom_site_fract_y
_atom_site_fract_z
K1 K 0.000 0.000 0.000
Mg1 Mg 0.448 0.500 0.322
Ni1 Ni 0.238 0.243 0.543
H1 H 0.084 0.000 0.689
H2 H 0.204 0.500 0.320
H3 H 0.251 0.000 0.860
Se1 Se 0.094 0.500 0.814
Se2 Se 0.389 0.000 0.293
O1 O 0.010 0.293 0.324
O2 O 0.180 0.000 0.393
O3 O 0.191 0.000 0.716
O4 O 0.196 0.500 0.704
O5 O 0.226 0.500 0.045
O6 O 0.273 0.000 0.057
O7 O 0.305 0.500 0.439
O8 O 0.480 0.206 0.754
```

Largest 8 diffraction maxima, by intensity, 2θ = 5–70°:
| hkl | 2θ/deg | Rel. int. |
| --- | --- | --- |
| 2 0 -2 | 22.5 | 100 |
| 2 2 -1 | 32.3 | 98 |
| 2 0 1 | 29.5 | 86 |
| 0 0 1 | 12.4 | 76 |
| 1 1 -2 | 25.3 | 69 |
| 1 1 -1 | 17.5 | 66 |
| 3 1 -1 | 30.1 | 64 |
| 0 2 2 | 37.0 | 56 |